# Sr8La3Ru3O21
Theoretical X-ray powder pattern, Cu Kα (weighted mean of Kα1 and Kα2). Input: a PBE-relaxed structure.
Lines closer than 0.1° are merged.

Crystal structure
abc: 5.801 6.949 14.877
angles: 98.34 90.55 114.30
Element x y z (fractional)
Sr 0.000 0.000 0.000
Sr 0.019 0.105 0.719
Sr 0.049 0.140 0.480
Sr 0.330 0.659 0.659
Sr 0.378 0.798 0.132
Sr 0.457 0.925 0.875
Sr 0.692 0.435 0.056
Sr 0.765 0.562 0.509
La 0.132 0.292 0.255
La 0.398 0.822 0.385
La 0.705 0.467 0.802
Ru 0.197 0.452 0.928
Ru 0.529 0.117 0.595
Ru 0.881 0.782 0.260
O 0.080 0.669 0.968
O 0.161 0.522 0.802
O 0.172 0.899 0.582
O 0.217 0.460 0.403
O 0.219 0.398 0.053
O 0.244 0.987 0.269
O 0.294 0.225 0.873
O 0.427 0.349 0.637
O 0.449 0.065 0.040
O 0.501 0.170 0.471
O 0.514 0.604 0.249
O 0.549 0.075 0.722
O 0.558 0.648 0.944
O 0.631 0.881 0.545
O 0.749 0.770 0.765
O 0.800 0.026 0.318
O 0.848 0.243 0.910
O 0.854 0.870 0.143
O 0.890 0.333 0.609
O 0.937 0.751 0.384
O 0.963 0.546 0.210

Largest 6 diffraction maxima, sorted by position, 10° ≤ 2θ ≤ 90°:
2theta, I_rel
14.47, 22
29.91, 30
30.20, 64
30.56, 48
30.79, 100
43.77, 22


# In3Sb5
Theoretical X-ray powder pattern, Cu Kα (weighted mean of Kα1 and Kα2). Input: a PBE-relaxed structure.
Lines closer than 0.1° are merged.

Crystal structure
abc: 9.179 9.179 3.332
angles: 90.00 90.00 120.00
Element x y z (fractional)
In 0.167 0.334 0.000
In 0.167 0.833 0.000
In 0.666 0.833 0.000
Sb 0.000 0.000 0.500
Sb 0.333 0.667 0.500
Sb 0.442 0.221 0.000
Sb 0.779 0.221 0.000
Sb 0.779 0.558 0.000

Largest 6 diffraction maxima, sorted by position, 10° ≤ 2θ ≤ 90°:
2theta, I_rel
29.73, 100
33.23, 59
35.15, 76
39.26, 51
43.64, 81
68.51, 48


# Tb4TlS6
Theoretical X-ray powder pattern, Cu Kα (weighted mean of Kα1 and Kα2). Input: a PBE-relaxed structure.
Lines closer than 0.1° are merged.

Crystal structure
abc: 6.902 6.902 21.030
angles: 90.00 90.00 146.55
Element x y z (fractional)
Tb 0.099 0.901 0.634
Tb 0.099 0.901 0.866
Tb 0.368 0.632 0.541
Tb 0.368 0.632 0.959
Tb 0.632 0.368 0.041
Tb 0.632 0.368 0.459
Tb 0.901 0.099 0.134
Tb 0.901 0.099 0.366
Tl 0.157 0.843 0.250
Tl 0.843 0.157 0.750
S 0.000 0.000 0.000
S 0.000 0.000 0.500
S 0.167 0.833 0.750
S 0.272 0.728 0.079
S 0.272 0.728 0.421
S 0.465 0.535 0.652
S 0.465 0.535 0.848
S 0.535 0.465 0.152
S 0.535 0.465 0.348
S 0.728 0.272 0.579
S 0.728 0.272 0.921
S 0.833 0.167 0.250

Largest 6 diffraction maxima, sorted by position, 10° ≤ 2θ ≤ 90°:
2theta, I_rel
24.89, 37
25.10, 100
26.66, 44
31.49, 67
32.94, 39
44.62, 41